No. 1
This entry pairs a crystal structure of Tb3Pr8Sm2 with its theoretical XRD peak list. Radiation: CuKα. Structure: a cell relaxed with PBE.
No peak broadening, texture or thermal motion is included.

Most intense lines, 2θ = 10–90°, by angle:
2θ/deg  d_spacing  I (rel.)
24.5  3.633  24
28.8  3.095  39
30.1  2.971  36
30.8  2.899  45
32.7  2.738  100
34.6  2.595  11
35.0  2.565  10
39.8  2.266  13
56.0  1.641  22
57.2  1.612  9
62.8  1.480  11
66.3  1.409  11

Crystal structure
Cell: 20.758 7.756 5.797 Å, 90.00 90.02 90.00°
Space group C2/m (No. 12)
Symmetry-distinct sites (fractional):
Tb: 0.000 0.000 0.000 x2
Tb: 0.000 0.285 0.500 x4
Pr: 0.105 0.295 0.000 x8
Pr: 0.131 0.000 0.500 x4
Pr: 0.173 0.500 0.501 x4
Sm: 0.240 0.000 0.999 x4

No. 2
This entry pairs a crystal structure of La14NdHo with its theoretical XRD peak list. Radiation: CuKα. Structure: a cell relaxed with PBE.
No peak broadening, texture or thermal motion is included.

Most intense lines, 2θ = 10–90°, by angle:
2θ/deg  d_spacing  I (rel.)
27.2  3.273  6
29.2  3.058  35
29.5  3.033  31
31.0  2.883  100
42.0  2.153  23
52.9  1.730  22
53.2  1.721  17
56.1  1.638  6
64.7  1.441  7
68.8  1.365  5
69.9  1.346  7
84.6  1.146  5

Crystal structure
Cell: 12.231 12.131 7.762 Å, 90.00 90.00 90.00°
Space group Amm2 (No. 38)
Symmetry-distinct sites (fractional):
La: 0.000 0.000 0.000 x2
La: 0.000 0.000 0.442 x2
La: 0.000 0.224 0.766 x4
La: 0.244 0.230 0.060 x8
La: 0.253 0.000 0.748 x4
La: 0.257 0.000 0.300 x4
La: 0.500 0.246 0.280 x4
Nd: 0.500 0.000 0.014 x2
Ho: 0.500 0.000 0.515 x2

No. 3
This entry pairs a crystal structure of LaNd2AlSi2 with its theoretical XRD peak list. Radiation: CuKα. Structure: a cell relaxed with PBE.
No peak broadening, texture or thermal motion is included.

Most intense lines, 2θ = 10–90°, by angle:
2θ/deg  d_spacing  I (rel.)
10.9  8.091  22
22.0  4.045  40
24.9  3.577  19
28.6  3.119  100
37.6  2.390  32
42.9  2.108  41
44.0  2.058  26
54.3  1.690  11
59.3  1.559  11
59.9  1.544  15
62.5  1.486  22
71.6  1.319  18

Crystal structure
Cell: 4.780 4.780 16.181 Å, 90.00 90.00 90.00°
Space group I4/mmm (No. 139)
Symmetry-distinct sites (fractional):
La: 0.000 0.000 0.000 x2
Nd: 0.000 0.500 0.250 x4
Al: 0.000 0.000 0.500 x2
Si: 0.000 0.000 0.358 x4

No. 4
This entry pairs a crystal structure of Mg2ScCd6 with its theoretical XRD peak list. Radiation: CuKα. Structure: a cell relaxed with PBE.
No peak broadening, texture or thermal motion is included.

Most intense lines, 2θ = 10–90°, by angle:
2θ/deg  d_spacing  I (rel.)
20.4  4.361  29
23.7  3.758  22
24.3  3.664  17
36.1  2.491  57
36.2  2.481  100
36.4  2.467  100
38.7  2.324  47
44.1  2.055  16
54.0  1.699  35
64.9  1.436  19
65.1  1.433  17
75.3  1.262  23

Crystal structure
Cell: 14.656 11.447 4.982 Å, 90.00 90.00 90.00°
Space group Cmcm (No. 63)
Symmetry-distinct sites (fractional):
Mg: 0.145 0.077 0.250 x8
Sc: 0.000 0.315 0.250 x4
Cd: 0.096 0.182 0.750 x8
Cd: 0.103 0.435 0.750 x8
Cd: 0.207 0.337 0.250 x8

No. 5
This entry pairs a crystal structure of Ce5Cd2In with its theoretical XRD peak list. Radiation: CuKα. Structure: a cell relaxed with PBE.
No peak broadening, texture or thermal motion is included.

Most intense lines, 2θ = 10–90°, by angle:
2θ/deg  d_spacing  I (rel.)
32.6  2.743  100
33.1  2.709  75
33.7  2.658  15
37.0  2.429  51
40.3  2.239  28
52.8  1.735  13
55.8  1.646  31
63.7  1.461  16
64.5  1.445  10
68.4  1.371  20
68.7  1.367  9
87.0  1.120  7

Crystal structure
Cell: 6.802 13.879 4.479 Å, 90.00 90.00 90.00°
Space group Pbam (No. 55)
Symmetry-distinct sites (fractional):
Ce: 0.000 0.000 0.000 x2
Ce: 0.077 0.270 0.000 x4
Ce: 0.238 0.864 0.500 x4
Cd: 0.231 0.618 0.500 x4
In: 0.000 0.500 0.000 x2

No. 6
This entry pairs a crystal structure of NpSe2N2 with its theoretical XRD peak list. Radiation: CuKα. Structure: a cell relaxed with PBE.
No peak broadening, texture or thermal motion is included.

Most intense lines, 2θ = 10–90°, by angle:
2θ/deg  d_spacing  I (rel.)
16.2  5.485  93
29.9  2.990  76
30.2  2.955  81
35.1  2.559  80
35.5  2.526  78
35.9  2.501  100
36.7  2.447  27
36.8  2.439  49
37.0  2.428  23
41.4  2.181  56
41.9  2.154  53
51.7  1.768  35

Crystal structure
Cell: 5.000 5.004 10.973 Å, 90.00 91.05 90.00°
Space group C2/m (No. 12)
Symmetry-distinct sites (fractional):
Np: 0.000 0.000 0.000 x2
Se: 0.006 0.500 0.145 x4
N: 0.011 0.000 0.450 x4

No. 7
This entry pairs a crystal structure of MgAg2Au3 with its theoretical XRD peak list. Radiation: CuKα. Structure: a cell relaxed with PBE.
No peak broadening, texture or thermal motion is included.

Most intense lines, 2θ = 10–90°, by angle:
2θ/deg  d_spacing  I (rel.)
22.3  3.979  14
29.8  3.000  15
37.5  2.395  100
42.5  2.126  18
42.7  2.117  17
45.6  1.990  14
61.9  1.500  12
64.1  1.453  10
74.5  1.273  13
74.8  1.269  13
78.9  1.213  11
80.1  1.198  11

Crystal structure
Cell: 4.252 12.700 7.959 Å, 90.00 90.00 90.00°
Space group Cmmm (No. 65)
Symmetry-distinct sites (fractional):
Mg: 0.000 0.159 0.000 x4
Ag: 0.000 0.169 0.500 x4
Ag: 0.000 0.500 0.000 x2
Ag: 0.000 0.500 0.500 x2
Au: 0.000 0.000 0.252 x4
Au: 0.000 0.330 0.237 x8

No. 8
This entry pairs a crystal structure of Tb2Nd8Er with its theoretical XRD peak list. Radiation: CuKα. Structure: a cell relaxed with PBE.
No peak broadening, texture or thermal motion is included.

Most intense lines, 2θ = 10–90°, by angle:
2θ/deg  d_spacing  I (rel.)
30.9  2.896  100
31.1  2.872  85
32.5  2.756  88
42.2  2.143  16
46.6  1.949  32
54.2  1.691  15
56.8  1.622  19
57.0  1.616  19
57.2  1.612  15
62.3  1.489  27
63.3  1.469  13
64.3  1.448  11

Crystal structure
Cell: 10.420 13.619 5.507 Å, 90.00 90.07 90.00°
Space group C2/m (No. 12)
Symmetry-distinct sites (fractional):
Tb: 0.000 0.119 0.000 x4
Nd: 0.000 0.248 0.500 x4
Nd: 0.165 0.366 0.001 x8
Nd: 0.166 0.000 0.500 x4
Er: 0.000 0.500 0.500 x2

No. 9
This entry pairs a crystal structure of Mg2Zn3Pt3 with its theoretical XRD peak list. Radiation: CuKα. Structure: a cell relaxed with PBE.
No peak broadening, texture or thermal motion is included.

Most intense lines, 2θ = 10–90°, by angle:
2θ/deg  d_spacing  I (rel.)
20.5  4.328  49
28.3  3.155  20
30.4  2.941  34
36.8  2.443  27
39.1  2.304  43
41.9  2.158  100
43.4  2.084  48
54.8  1.676  17
72.7  1.300  19
73.8  1.283  14
81.5  1.181  14
81.9  1.177  17

Crystal structure
Cell: 4.608 11.460 4.674 Å, 90.00 90.00 90.00°
Space group Pmmn (No. 59, origin choice 2)
Symmetry-distinct sites (fractional):
Mg: 0.250 0.121 0.148 x4
Zn: 0.250 0.002 0.667 x4
Zn: 0.250 0.750 0.669 x2
Pt: 0.250 0.250 0.630 x2
Pt: 0.250 0.618 0.177 x4

No. 10
This entry pairs a crystal structure of Na6Bi2Au with its theoretical XRD peak list. Radiation: CuKα. Structure: a cell relaxed with PBE.
No peak broadening, texture or thermal motion is included.

Most intense lines, 2θ = 10–90°, by angle:
2θ/deg  d_spacing  I (rel.)
19.1  4.657  100
19.7  4.511  38
32.9  2.719  61
34.3  2.612  48
36.8  2.440  27
38.3  2.348  18
42.1  2.146  20
48.3  1.884  37
51.4  1.777  16
59.7  1.548  16
61.4  1.510  13
79.5  1.206  12

Crystal structure
Cell: 5.4378 5.4378 31.3810 Å, 90.00 90.00 120.00°
Space group R-3m (No. 166, hexagonal axes)
Symmetry-distinct sites (fractional):
Na: 0.0000 0.0000 0.0796 x6
Na: 0.0000 0.0000 0.1973 x6
Na: 0.0000 0.0000 0.3052 x6
Bi: 0.0000 0.0000 0.4104 x6
Au: 0.0000 0.0000 0.5000 x3

No. 11
This entry pairs a crystal structure of FeTcPb with its theoretical XRD peak list. Radiation: CuKα. Structure: a cell relaxed with PBE.
No peak broadening, texture or thermal motion is included.

Most intense lines, 2θ = 10–90°, by angle:
2θ/deg  d_spacing  I (rel.)
15.1  5.858  24
30.2  2.957  27
30.5  2.929  41
31.0  2.888  34
35.3  2.545  54
38.0  2.369  100
41.3  2.186  42
43.3  2.091  75
46.5  1.953  20
50.7  1.800  26
63.8  1.459  17
71.0  1.328  15

Crystal structure
Cell: 11.768 2.980 2.970 Å, 90.00 95.39 90.00°
Space group Cm (No. 8)
Symmetry-distinct sites (fractional):
Fe: 0.000 0.000 0.000 x2
Tc: 0.115 0.500 0.536 x2
Pb: 0.312 0.000 0.260 x2

No. 12
This entry pairs a crystal structure of Sm7Cd2Sb2 with its theoretical XRD peak list. Radiation: CuKα. Structure: a cell relaxed with PBE.
No peak broadening, texture or thermal motion is included.

Most intense lines, 2θ = 10–90°, by angle:
2θ/deg  d_spacing  I (rel.)
22.4  3.976  47
23.9  3.728  41
29.2  3.053  30
31.5  2.838  57
36.1  2.490  100
36.4  2.471  33
37.0  2.430  25
39.0  2.310  19
48.9  1.864  27
59.1  1.563  20
64.7  1.442  14
76.5  1.245  14

Crystal structure
Cell: 9.886 11.353 6.694 Å, 90.00 90.00 90.00°
Space group Cmmm (No. 65)
Symmetry-distinct sites (fractional):
Sm: 0.000 0.000 0.000 x2
Sm: 0.000 0.500 0.255 x4
Sm: 0.250 0.250 0.261 x8
Cd: 0.000 0.273 0.000 x4
Sb: 0.204 0.000 0.500 x4